Diffraction record for PrZrF7. The X-ray diffraction stick pattern is theoretical, not measured: it uses the PBE geometry in Alexandria and Cu Kα X-rays.
No peak broadening, texture or thermal motion is included.

```
data_PrZrF7
_space_group_name_H-M_alt 'P 1 21 1'
_space_group_IT_number 4
_cell_length_a 6.325
_cell_length_b 5.977
_cell_length_c 8.562
_cell_angle_alpha 90.00
_cell_angle_beta 102.63
_cell_angle_gamma 90.00
loop_
_space_group_symop_operation_xyz
'x,y,z'
'-x,y+1/2,-z'
loop_
_atom_site_label
_atom_site_fract_x
_atom_site_fract_y
_atom_site_fract_z
Pr1 0.156 0.000 0.189
Zr1 0.313 0.008 0.725
F1 0.048 0.698 0.021
F2 0.074 0.773 0.710
F3 0.098 0.268 0.708
F4 0.266 0.001 0.481
F5 0.356 0.015 0.967
F6 0.445 0.274 0.255
F7 0.452 0.745 0.267
```

Peak list (10 most intense, 2θ = 10–80°, low angle first)
d [Å]	2theta	I (rel.)	(hkl)
4.294	20.69	100	1 1 0
4.177	21.27	36	0 0 2
4.079	21.79	12	1 1 -1
3.602	24.71	21	1 1 1
3.424	26.02	13	0 1 2
3.251	27.43	28	1 1 -2
2.989	29.90	11	0 2 0
2.160	41.82	16	2 2 -1
2.007	45.18	13	2 2 1
1.987	45.65	14	3 1 -1

***

Diffraction record for PrZr2F11. The X-ray diffraction stick pattern is theoretical, not measured: it uses the PBE geometry in Alexandria and Cu Kα X-rays.
No peak broadening, texture or thermal motion is included.

```
data_PrZr2F11
_space_group_name_H-M_alt 'I b a m'
_space_group_IT_number 72
_space_group_name_Hall '-I 2 2c'
_cell_length_a 7.899
_cell_length_b 10.204
_cell_length_c 11.102
_cell_angle_alpha 90.00
_cell_angle_beta 90.00
_cell_angle_gamma 90.00
loop_
_atom_site_label
_atom_site_fract_x
_atom_site_fract_y
_atom_site_fract_z
Pr1 0.000 0.000 0.250
Zr1 0.134 0.319 0.000
F1 0.000 0.500 0.000
F2 0.102 0.184 0.137
F3 0.129 0.282 0.500
F4 0.235 0.077 0.370
```

Peak list (10 most intense, 2θ = 10–80°, low angle first)
d [Å]	2theta	I (rel.)	(hkl)
6.246	14.18	23	1 1 0
4.149	21.42	100	1 1 2
3.998	22.23	25	1 2 1
3.756	23.69	59	0 2 2
3.496	25.48	38	2 1 1
3.124	28.58	25	1 3 0
2.075	43.62	45	1 3 4
1.949	46.59	26	3 3 2
1.861	48.94	30	4 0 2
1.842	49.49	16	4 2 0